Theoretical powder diffraction line list of HfNb2Ni9 for Cu Kα (weighted mean of Kα1 and Kα2), from a structure optimized by DFT (PBE).
Kinematic intensities with the Lorentz-polarization factor, no thermal factor.

Main lines, by angle (2θ from 10° to 80°):
24.02 deg, rel. 11, (0 0 3)
25.35 deg, rel. 3, (1 0 1)
28.96 deg, rel. 2, (1 0 2)
34.23 deg, rel. 9, (1 1 0)
42.25 deg, rel. 100, (1 1 3)
49.18 deg, rel. 47, (2 0 0)
55.45 deg, rel. 5, (2 0 3)
61.28 deg, rel. 4, (1 1 6)
72.10 deg, rel. 28, (2 2 0)
77.24 deg, rel. 2, (0 0 9)

Structural model:
```
HfNb2Ni9
1.0
3.7037 0.0000 0.0000
0.0000 3.7037 0.0000
0.0000 0.0000 11.1240
Hf Nb Ni
1 2 9
Direct
0.0000 0.0000 0.0000 Hf
0.0000 0.0000 0.3343 Nb
0.0000 0.0000 0.6657 Nb
0.0000 0.5000 0.1704 Ni
0.0000 0.5000 0.5000 Ni
0.0000 0.5000 0.8296 Ni
0.5000 0.0000 0.1704 Ni
0.5000 0.0000 0.5000 Ni
0.5000 0.0000 0.8296 Ni
0.5000 0.5000 0.0000 Ni
0.5000 0.5000 0.3353 Ni
0.5000 0.5000 0.6647 Ni
```